Tb8ZnIr2: theoretical X-ray diffraction stick pattern (Cu Kα), based on a structure optimized by DFT (PBE).
Peak positions follow from Bragg's law for the DFT cell and can differ from measured ones.

Peak list (10 most intense, 2θ = 5–70°, in order of rising 2θ)
| 2θ (°) | Rel. int. |
| --- | --- |
| 16.4 | 41.0 |
| 25.2 | 37.7 |
| 29.9 | 100.0 |
| 32.0 | 89.1 |
| 33.1 | 81.4 |
| 33.1 | 39.0 |
| 34.8 | 62.5 |
| 36.0 | 40.5 |
| 38.2 | 53.1 |
| 38.6 | 62.1 |

Structural model:
```
data_Tb8ZnIr2
_chemical_formula_sum 'Tb16 Zn2 Ir4'
_symmetry_space_group_name_H-M 'C 1 m 1'
_symmetry_Int_Tables_number 8
_cell_length_a 8.641
_cell_length_b 13.092
_cell_length_c 5.549
_cell_angle_alpha 90.00
_cell_angle_beta 103.80
_cell_angle_gamma 90.00
loop_
_symmetry_equiv_pos_as_xyz
'x,y,z'
'x,-y,z'
'x+1/2,y+1/2,z'
'x+1/2,-y+1/2,z'
loop_
_atom_site_label
_atom_site_type_symbol
_atom_site_fract_x
_atom_site_fract_y
_atom_site_fract_z
Tb1 Tb 0.000 0.000 0.000
Tb2 Tb 0.077 0.370 0.782
Tb3 Tb 0.178 0.130 0.611
Tb4 Tb 0.256 0.500 0.393
Tb5 Tb 0.378 0.243 0.196
Zn1 Zn 0.379 0.000 0.189
Ir1 Ir 0.378 0.309 0.697
```

Tc3Ir: theoretical X-ray diffraction stick pattern (Cu Kα), based on a structure optimized by DFT (PBE).
Peak positions follow from Bragg's law for the DFT cell and can differ from measured ones.

Peak list (10 most intense, 2θ = 5–70°, in order of rising 2θ)
| 2θ (°) | Rel. int. |
| --- | --- |
| 19.8 | 18.3 |
| 22.9 | 6.6 |
| 38.4 | 3.7 |
| 38.7 | 7.3 |
| 40.2 | 100.0 |
| 40.4 | 98.3 |
| 46.7 | 32.5 |
| 47.0 | 63.7 |
| 68.4 | 51.1 |
| 69.0 | 10.0 |

Structural model:
```
data_Tc3Ir
_chemical_formula_sum 'Tc6 Ir2'
_symmetry_space_group_name_H-M 'C m m m'
_symmetry_Int_Tables_number 65
_symmetry_space_group_name_Hall '-C 2 2'
_cell_length_a 5.489
_cell_length_b 7.783
_cell_length_c 2.722
_cell_angle_alpha 90.00
_cell_angle_beta 90.00
_cell_angle_gamma 90.00
loop_
_atom_site_label
_atom_site_type_symbol
_atom_site_fract_x
_atom_site_fract_y
_atom_site_fract_z
Tc1 Tc 0.000 0.000 0.000
Tc2 Tc 0.250 0.250 0.500
Ir1 Ir 0.000 0.500 0.000
```

Tc2Ir3: theoretical X-ray diffraction stick pattern (Cu Kα), based on a structure optimized by DFT (PBE).
Peak positions follow from Bragg's law for the DFT cell and can differ from measured ones.

Peak list (10 most intense, 2θ = 5–70°, in order of rising 2θ)
| 2θ (°) | Rel. int. |
| --- | --- |
| 14.4 | 10.9 |
| 22.1 | 9.0 |
| 25.9 | 24.7 |
| 40.6 | 43.4 |
| 40.7 | 23.0 |
| 42.7 | 100.0 |
| 43.5 | 34.9 |
| 44.0 | 19.8 |
| 61.1 | 14.1 |
| 63.6 | 13.3 |

Structural model:
```
data_Tc2Ir3
_chemical_formula_sum 'Tc8 Ir12'
_symmetry_space_group_name_H-M 'P n m a'
_symmetry_Int_Tables_number 62
_cell_length_a 9.198
_cell_length_b 4.161
_cell_length_c 8.233
_cell_angle_alpha 90.00
_cell_angle_beta 90.00
_cell_angle_gamma 90.00
loop_
_symmetry_equiv_pos_as_xyz
'x,y,z'
'-x,-y,-z'
'-x+1/2,-y,z+1/2'
'x+1/2,y,-z+1/2'
'x+1/2,-y+1/2,-z+1/2'
'-x+1/2,y+1/2,z+1/2'
'-x,y+1/2,-z'
'x,-y+1/2,z'
loop_
_atom_site_label
_atom_site_type_symbol
_atom_site_fract_x
_atom_site_fract_y
_atom_site_fract_z
Tc1 Tc 0.048 0.250 0.154
Tc2 Tc 0.195 0.250 0.440
Ir1 Ir 0.034 0.750 0.354
Ir2 Ir 0.161 0.250 0.865
Ir3 Ir 0.173 0.750 0.642
```

Tc3Ir4: theoretical X-ray diffraction stick pattern (Cu Kα), based on a structure optimized by DFT (PBE).
Peak positions follow from Bragg's law for the DFT cell and can differ from measured ones.

Peak list (10 most intense, 2θ = 5–70°, in order of rising 2θ)
| 2θ (°) | Rel. int. |
| --- | --- |
| 9.2 | 3.9 |
| 18.5 | 9.1 |
| 30.5 | 7.0 |
| 38.6 | 67.3 |
| 42.9 | 100.0 |
| 43.1 | 4.6 |
| 55.7 | 23.3 |
| 59.2 | 1.9 |
| 59.9 | 2.7 |
| 68.3 | 6.2 |

Structural model:
```
data_Tc3Ir4
_chemical_formula_sum 'Tc6 Ir8'
_symmetry_space_group_name_H-M 'I 4/m m m'
_symmetry_Int_Tables_number 139
_symmetry_space_group_name_Hall '-I 4 2'
_cell_length_a 3.299
_cell_length_b 3.299
_cell_length_c 19.219
_cell_angle_alpha 90.00
_cell_angle_beta 90.00
_cell_angle_gamma 90.00
loop_
_atom_site_label
_atom_site_type_symbol
_atom_site_fract_x
_atom_site_fract_y
_atom_site_fract_z
Tc1 Tc 0.000 0.000 0.000
Tc2 Tc 0.000 0.000 0.289
Ir1 Ir 0.000 0.000 0.142
Ir2 Ir 0.000 0.000 0.427
```

TcIr2: theoretical X-ray diffraction stick pattern (Cu Kα), based on a structure optimized by DFT (PBE).
Peak positions follow from Bragg's law for the DFT cell and can differ from measured ones.

Peak list (10 most intense, 2θ = 5–70°, in order of rising 2θ)
| 2θ (°) | Rel. int. |
| --- | --- |
| 21.5 | 6.6 |
| 29.7 | 5.9 |
| 37.6 | 24.4 |
| 41.3 | 25.1 |
| 43.1 | 100.0 |
| 47.0 | 1.9 |
| 48.6 | 1.7 |
| 57.1 | 14.6 |
| 67.8 | 11.6 |
| 68.0 | 5.8 |

Structural model:
```
data_TcIr2
_chemical_formula_sum 'Tc4 Ir8'
_symmetry_space_group_name_H-M 'C m c m'
_symmetry_Int_Tables_number 63
_symmetry_space_group_name_Hall '-C 2c 2'
_cell_length_a 8.275
_cell_length_b 4.792
_cell_length_c 4.372
_cell_angle_alpha 90.00
_cell_angle_beta 90.00
_cell_angle_gamma 90.00
loop_
_atom_site_label
_atom_site_type_symbol
_atom_site_fract_x
_atom_site_fract_y
_atom_site_fract_z
Tc1 Tc 0.000 0.168 0.250
Ir1 Ir 0.167 0.333 0.750
```

TcIr2: theoretical X-ray diffraction stick pattern (Cu Kα), based on a structure optimized by DFT (PBE).
Peak positions follow from Bragg's law for the DFT cell and can differ from measured ones.

Peak list (10 most intense, 2θ = 5–70°, in order of rising 2θ)
| 2θ (°) | Rel. int. |
| --- | --- |
| 23.8 | 8.6 |
| 37.5 | 12.4 |
| 37.7 | 24.1 |
| 41.2 | 37.9 |
| 43.0 | 50.1 |
| 43.2 | 100.0 |
| 56.9 | 7.5 |
| 57.1 | 14.6 |
| 67.8 | 17.4 |
| 68.2 | 8.6 |

Structural model:
```
data_TcIr2
_chemical_formula_sum 'Tc4 Ir8'
_symmetry_space_group_name_H-M 'C m c m'
_symmetry_Int_Tables_number 63
_symmetry_space_group_name_Hall '-C 2c 2'
_cell_length_a 2.751
_cell_length_b 14.379
_cell_length_c 4.382
_cell_angle_alpha 90.00
_cell_angle_beta 90.00
_cell_angle_gamma 90.00
loop_
_atom_site_label
_atom_site_type_symbol
_atom_site_fract_x
_atom_site_fract_y
_atom_site_fract_z
Tc1 Tc 0.000 0.112 0.250
Ir1 Ir 0.000 0.224 0.750
Ir2 Ir 0.000 0.446 0.250
```

Tc3Ir: theoretical X-ray diffraction stick pattern (Cu Kα), based on a structure optimized by DFT (PBE).
Peak positions follow from Bragg's law for the DFT cell and can differ from measured ones.

Peak list (10 most intense, 2θ = 5–70°, in order of rising 2θ)
| 2θ (°) | Rel. int. |
| --- | --- |
| 21.2 | 5.9 |
| 27.5 | 11.2 |
| 32.5 | 6.2 |
| 37.7 | 8.1 |
| 39.1 | 43.9 |
| 40.9 | 34.4 |
| 43.1 | 100.0 |
| 49.2 | 22.7 |
| 65.9 | 9.3 |
| 68.1 | 22.5 |

Structural model:
```
data_Tc3Ir
_chemical_formula_sum 'Tc12 Ir4'
_symmetry_space_group_name_H-M 'P 63/m m c'
_symmetry_Int_Tables_number 194
_symmetry_space_group_name_Hall '-P 6c 2c'
_cell_length_a 5.5079
_cell_length_b 5.5079
_cell_length_c 8.8178
_cell_angle_alpha 90.00
_cell_angle_beta 90.00
_cell_angle_gamma 120.00
loop_
_atom_site_label
_atom_site_type_symbol
_atom_site_fract_x
_atom_site_fract_y
_atom_site_fract_z
Tc1 Tc 0.0000 0.5000 0.0000
Tc2 Tc 0.1690 0.3380 0.2500
Ir1 Ir 0.0000 0.0000 0.0000
Ir2 Ir 0.3333 0.6667 0.7500
```

Tc3Ir4: theoretical X-ray diffraction stick pattern (Cu Kα), based on a structure optimized by DFT (PBE).
Peak positions follow from Bragg's law for the DFT cell and can differ from measured ones.

Peak list (10 most intense, 2θ = 5–70°, in order of rising 2θ)
| 2θ (°) | Rel. int. |
| --- | --- |
| 36.1 | 75.1 |
| 40.6 | 61.9 |
| 41.9 | 27.8 |
| 42.3 | 100.0 |
| 46.0 | 39.7 |
| 56.8 | 7.1 |
| 64.9 | 14.0 |
| 67.9 | 13.7 |
| 68.6 | 10.0 |
| 69.2 | 47.1 |

Structural model:
```
data_Tc3Ir4
_chemical_formula_sum 'Tc3 Ir4'
_symmetry_space_group_name_H-M 'P 6/m m m'
_symmetry_Int_Tables_number 191
_symmetry_space_group_name_Hall '-P 6 2'
_cell_length_a 4.9797
_cell_length_b 4.9797
_cell_length_c 4.9161
_cell_angle_alpha 90.00
_cell_angle_beta 90.00
_cell_angle_gamma 120.00
loop_
_atom_site_label
_atom_site_type_symbol
_atom_site_fract_x
_atom_site_fract_y
_atom_site_fract_z
Tc1 Tc 0.0000 0.5000 0.0000
Ir1 Ir 0.0000 0.0000 0.2569
Ir2 Ir 0.3333 0.6667 0.5000
```

TcTe4Ir: theoretical X-ray diffraction stick pattern (Cu Kα), based on a structure optimized by DFT (PBE).
Peak positions follow from Bragg's law for the DFT cell and can differ from measured ones.

Peak list (10 most intense, 2θ = 5–70°, in order of rising 2θ)
| 2θ (°) | Rel. int. |
| --- | --- |
| 13.5 | 81.4 |
| 29.3 | 14.7 |
| 32.4 | 100.0 |
| 34.7 | 37.3 |
| 41.8 | 14.4 |
| 46.3 | 11.5 |
| 46.5 | 29.9 |
| 46.7 | 25.2 |
| 49.9 | 21.3 |
| 59.5 | 16.2 |

Structural model:
```
data_TcTe4Ir
_chemical_formula_sum 'Tc1 Te4 Ir1'
_symmetry_space_group_name_H-M 'P 1'
_symmetry_Int_Tables_number 1
_cell_length_a 3.886
_cell_length_b 6.212
_cell_length_c 6.960
_cell_angle_alpha 79.54
_cell_angle_beta 73.80
_cell_angle_gamma 89.97
loop_
_symmetry_equiv_pos_as_xyz
'x,y,z'
loop_
_atom_site_label
_atom_site_type_symbol
_atom_site_fract_x
_atom_site_fract_y
_atom_site_fract_z
Tc1 Tc 0.000 0.000 0.000
Te1 Te 0.142 0.342 0.714
Te2 Te 0.365 0.033 0.270
Te3 Te 0.602 0.823 0.796
Te4 Te 0.903 0.559 0.191
Ir1 Ir 0.505 0.393 0.988
```

Ti2TcIr9: theoretical X-ray diffraction stick pattern (Cu Kα), based on a structure optimized by DFT (PBE).
Peak positions follow from Bragg's law for the DFT cell and can differ from measured ones.

Peak list (10 most intense, 2θ = 5–70°, in order of rising 2θ)
| 2θ (°) | Rel. int. |
| --- | --- |
| 14.6 | 18.2 |
| 28.8 | 7.5 |
| 40.1 | 52.3 |
| 40.2 | 100.0 |
| 40.3 | 50.2 |
| 46.8 | 98.0 |
| 68.1 | 21.1 |
| 68.2 | 10.7 |
| 68.4 | 20.8 |
| 68.5 | 10.5 |

Structural model:
```
data_Ti2TcIr9
_chemical_formula_sum 'Ti2 Tc1 Ir9'
_symmetry_space_group_name_H-M 'P -1'
_symmetry_Int_Tables_number 2
_cell_length_a 4.771
_cell_length_b 6.130
_cell_length_c 6.137
_cell_angle_alpha 84.31
_cell_angle_beta 82.47
_cell_angle_gamma 82.39
loop_
_symmetry_equiv_pos_as_xyz
'x,y,z'
'-x,-y,-z'
loop_
_atom_site_label
_atom_site_type_symbol
_atom_site_fract_x
_atom_site_fract_y
_atom_site_fract_z
Ti1 Ti 0.249 0.409 0.093
Tc1 Tc 0.500 0.000 0.000
Ir1 Ir 0.000 0.500 0.500
Ir2 Ir 0.008 0.835 0.164
Ir3 Ir 0.251 0.082 0.416
Ir4 Ir 0.252 0.740 0.758
Ir5 Ir 0.491 0.331 0.668
```

Ti4Tc3Ir: theoretical X-ray diffraction stick pattern (Cu Kα), based on a structure optimized by DFT (PBE).
Peak positions follow from Bragg's law for the DFT cell and can differ from measured ones.

Peak list (10 most intense, 2θ = 5–70°, in order of rising 2θ)
| 2θ (°) | Rel. int. |
| --- | --- |
| 10.1 | 9.0 |
| 28.7 | 20.7 |
| 28.9 | 10.2 |
| 41.0 | 20.3 |
| 41.2 | 100.0 |
| 50.9 | 4.5 |
| 51.0 | 4.5 |
| 59.5 | 13.0 |
| 59.9 | 6.4 |
| 67.5 | 6.0 |

Structural model:
```
data_Ti4Tc3Ir
_chemical_formula_sum 'Ti4 Tc3 Ir1'
_symmetry_space_group_name_H-M 'P m m m'
_symmetry_Int_Tables_number 47
_cell_length_a 3.090
_cell_length_b 4.402
_cell_length_c 8.779
_cell_angle_alpha 90.00
_cell_angle_beta 90.00
_cell_angle_gamma 90.00
loop_
_symmetry_equiv_pos_as_xyz
'x,y,z'
'-x,-y,-z'
'-x,-y,z'
'x,y,-z'
'x,-y,-z'
'-x,y,z'
'-x,y,-z'
'x,-y,z'
loop_
_atom_site_label
_atom_site_type_symbol
_atom_site_fract_x
_atom_site_fract_y
_atom_site_fract_z
Ti1 Ti 0.000 0.000 0.000
Ti2 Ti 0.000 0.000 0.500
Ti3 Ti 0.000 0.500 0.245
Tc1 Tc 0.500 0.000 0.253
Tc2 Tc 0.500 0.500 0.000
Ir1 Ir 0.500 0.500 0.500
```

Tm2TcIr: theoretical X-ray diffraction stick pattern (Cu Kα), based on a structure optimized by DFT (PBE).
Peak positions follow from Bragg's law for the DFT cell and can differ from measured ones.

Peak list (10 most intense, 2θ = 5–70°, in order of rising 2θ)
| 2θ (°) | Rel. int. |
| --- | --- |
| 18.5 | 5.5 |
| 32.6 | 2.9 |
| 37.5 | 51.0 |
| 37.7 | 100.0 |
| 42.1 | 1.5 |
| 50.5 | 1.8 |
| 54.0 | 17.8 |
| 54.9 | 8.5 |
| 67.8 | 36.1 |
| 68.3 | 17.6 |

Structural model:
```
data_Tm2TcIr
_chemical_formula_sum 'Tm2 Tc1 Ir1'
_symmetry_space_group_name_H-M 'P 4/m m m'
_symmetry_Int_Tables_number 123
_symmetry_space_group_name_Hall '-P 4 2'
_cell_length_a 4.800
_cell_length_b 4.800
_cell_length_c 3.347
_cell_angle_alpha 90.00
_cell_angle_beta 90.00
_cell_angle_gamma 90.00
loop_
_atom_site_label
_atom_site_type_symbol
_atom_site_fract_x
_atom_site_fract_y
_atom_site_fract_z
Tm1 Tm 0.000 0.500 0.000
Tc1 Tc 0.000 0.000 0.500
Ir1 Ir 0.500 0.500 0.500
```